Diffraction record for Li2TiNi2O5. The powder X-ray diffraction pattern is computed, not measured: it uses a crystal structure in Alexandria, relaxed with GGA+U and Cu Kα X-rays.
Kinematic intensities with the Lorentz-polarization factor, no thermal factor.

Structure:
```
data_Li2TiNi2O5
_cell_length_a 5.093
_cell_length_b 14.741
_cell_length_c 5.121
_cell_angle_alpha 90.00
_cell_angle_beta 109.62
_cell_angle_gamma 90.00
_symmetry_space_group_name_H-M 'C 1 2 1'
_symmetry_Int_Tables_number 5
_symmetry_space_group_name_Hall 'C 2y'
loop_
_atom_site_label
_atom_site_fract_x
_atom_site_fract_y
_atom_site_fract_z
Li1 0.000 0.000 0.000
Li2 0.000 0.100 0.500
Li3 0.000 0.294 0.500
Li4 0.000 0.599 0.000
Ti1 0.000 0.191 0.000
Ti2 0.000 0.495 0.500
Ni1 0.000 0.401 0.000
Ni2 0.000 0.699 0.500
Ni3 0.000 0.800 0.000
Ni4 0.000 0.899 0.500
O1 0.232 0.498 0.268
O2 0.236 0.201 0.769
O3 0.243 0.406 0.742
O4 0.247 0.102 0.250
O5 0.249 0.296 0.241
```

Main lines, by angle (2θ from 10° to 90°):
h k l, Position (°2θ), I_rel
0 2 0, 12.0, 28
1 1 -1, 22.1, 18
0 0 2, 37.3, 26
1 5 1, 43.4, 100
1 5 -3, 62.9, 18
2 0 2, 63.2, 28